Structure and calculated X-ray diffraction stick pattern of Gd2MnSbO7 (a structure optimized by DFT (PBE+U); Cu Kα (weighted mean of Kα1 and Kα2)).

Atomic structure:
Unit cell a=7.3073 b=7.3073 c=7.3073 alpha=120.37 beta=119.30 gamma=90.29
Element x y z (fractional)
1 Gd 0.0000 0.0000 0.0000
2 Gd 0.5000 0.0000 0.0000
3 Gd 0.5000 0.0000 0.5000
4 Gd 0.5000 0.5000 0.5000
5 Mn 0.0000 0.0000 0.5000
6 Mn 0.0000 0.5000 0.0000
7 Sb 0.0000 0.5000 0.5000
8 Sb 0.5000 0.5000 0.0000
9 O 0.0832 0.8332 0.2500
10 O 0.0858 0.4218 0.2547
11 O 0.0858 0.8312 0.6640
12 O 0.3311 0.5811 0.7500
13 O 0.3329 0.1688 0.7547
14 O 0.3329 0.5782 0.1640
15 O 0.3759 0.1259 0.2500
16 O 0.6241 0.8741 0.7500
17 O 0.6671 0.4218 0.8360
18 O 0.6671 0.8312 0.2453
19 O 0.6689 0.4189 0.2500
20 O 0.9142 0.1688 0.3360
21 O 0.9142 0.5782 0.7453
22 O 0.9168 0.1668 0.7500

Peak list (8 most intense, 2θ from 10° to 90°, in order of rising 2θ)
d/Å  I/Imax
6.003  18
3.002  100
2.970  98
2.590  42
2.577  21
1.827  62
1.568  29
1.554  41